Starting from a cell relaxed with PBE+U, the powder diffraction line list of VW2O8 was simulated for Cu Kα (λ = 1.5418 Å).

Main lines, by angle (2θ from 5° to 70°):
hkl 0 1 0, 2θ = 15.16°, 5.846 Å, intensity 43
hkl 0 0 2, 2θ = 19.17°, 4.630 Å, intensity 100
hkl 1 1 -1, 2θ = 23.37°, 3.807 Å, intensity 97
hkl 0 1 2, 2θ = 24.52°, 3.630 Å, intensity 58
hkl 1 1 1, 2θ = 30.03°, 2.976 Å, intensity 79
hkl 1 1 -3, 2θ = 30.76°, 2.907 Å, intensity 75
hkl 1 2 -1, 2θ = 35.55°, 2.525 Å, intensity 40
hkl 2 0 0, 2θ = 40.37°, 2.234 Å, intensity 32
hkl 1 2 -3, 2θ = 40.98°, 2.203 Å, intensity 39
hkl 0 3 2, 2θ = 50.84°, 1.796 Å, intensity 27

Structural model:
```
VW2O8
1.0
5.0184 0.0000 0.0000
0.0000 5.8460 0.0000
-4.7272 0.0000 9.2607
V W O
2 4 16
direct
0.0000 0.1429 0.2500 V
0.0000 0.8571 0.7500 V
0.2320 0.3355 0.9914 W
0.2320 0.6645 0.4914 W
0.7680 0.3355 0.5086 W
0.7680 0.6645 0.0086 W
0.1732 0.3909 0.6119 O
0.1732 0.6091 0.1119 O
0.2039 0.1638 0.1400 O
0.2039 0.8362 0.6400 O
0.2487 0.0995 0.8796 O
0.2487 0.9005 0.3796 O
0.3149 0.3893 0.3921 O
0.3149 0.6107 0.8921 O
0.6851 0.3893 0.1079 O
0.6851 0.6107 0.6079 O
0.7513 0.0995 0.6204 O
0.7513 0.9005 0.1204 O
0.7961 0.1638 0.3600 O
0.7961 0.8362 0.8600 O
0.8268 0.3909 0.8881 O
0.8268 0.6091 0.3881 O
```